The following is a theoretical XRD peak list of Mg6ZnCO8. It was derived from a structure optimized by DFT (GGA-PBE), using a wavelength of 1.5418 Å.
Kinematic intensities with the Lorentz-polarization factor, no thermal factor.

Largest 10 diffraction maxima, in order of rising 2θ, 10 to 90 degrees two-theta:
d (Å)	two_theta	I_rel	hkl
8.522	10.4	13	0 0 1
4.228	21.0	17	1 0 0
3.787	23.5	26	1 0 1
3.001	29.8	15	1 0 2
2.447	36.7	26	1 1 2
2.130	42.4	51	0 0 4
2.114	42.8	100	2 0 0
1.501	61.8	57	2 0 4
1.495	62.1	28	2 2 0
1.224	78.1	26	2 2 4

Cell and atoms:
```
data_Mg6ZnCO8
_chemical_formula_sum 'Mg6 Zn1 C1 O8'
_space_group_name_H-M_alt 'P 4/m m m'
_space_group_IT_number 123
_space_group_name_Hall '-P 4 2'
_cell_length_a 4.2280
_cell_length_b 4.2280
_cell_length_c 8.5216
_cell_angle_alpha 90.00
_cell_angle_beta 90.00
_cell_angle_gamma 90.00
loop_
_atom_site_label
_atom_site_type_symbol
_atom_site_fract_x
_atom_site_fract_y
_atom_site_fract_z
_atom_site_occupancy
Mg1 Mg 0.0000 0.0000 0.0000 1
Mg2 Mg 0.0000 0.5000 0.2542 1
Mg3 Mg 0.5000 0.5000 0.0000 1
Zn1 Zn 0.0000 0.0000 0.5000 1
C1 C 0.5000 0.5000 0.5000 1
O1 O 0.0000 0.0000 0.2482 1
O2 O 0.0000 0.5000 0.0000 1
O3 O 0.0000 0.5000 0.5000 1
O4 O 0.5000 0.5000 0.2504 1
```



The following is a theoretical XRD peak list of Rb2Cd3S4. It was derived from a structure optimized by DFT (GGA-PBE), using a wavelength of 1.5418 Å.
Kinematic intensities with the Lorentz-polarization factor, no thermal factor.

Largest 10 diffraction maxima, in order of rising 2θ, 10 to 90 degrees two-theta:
d (Å)	two_theta	I_rel	hkl
7.233	12.2	69	2 0 0
4.035	22.0	20	1 2 1
3.617	24.6	33	4 0 0
3.428	26.0	18	4 1 0
3.167	28.2	100	0 3 1
3.092	28.9	20	1 3 1
3.049	29.3	73	2 0 2
2.900	30.8	71	2 3 1
2.758	32.5	22	3 0 2
2.382	37.8	45	4 3 1

Cell and atoms:
```
data_Rb2Cd3S4
_chemical_formula_sum 'Rb8 Cd12 S16'
_space_group_name_H-M_alt 'P n m a'
_space_group_IT_number 62
_cell_length_a 14.4668
_cell_length_b 10.7618
_cell_length_c 6.7247
_cell_angle_alpha 90.00
_cell_angle_beta 90.00
_cell_angle_gamma 90.00
loop_
_space_group_symop_operation_xyz
'x,y,z'
'-x,-y,-z'
'-x+1/2,-y,z+1/2'
'x+1/2,y,-z+1/2'
'x+1/2,-y+1/2,-z+1/2'
'-x+1/2,y+1/2,z+1/2'
'-x,y+1/2,-z'
'x,-y+1/2,z'
loop_
_atom_site_label
_atom_site_type_symbol
_atom_site_fract_x
_atom_site_fract_y
_atom_site_fract_z
_atom_site_occupancy
Rb1 Rb 0.0000 0.0000 0.0000 1
Rb2 Rb 0.0343 0.2500 0.4785 1
Cd1 Cd 0.2073 0.7500 0.2405 1
Cd2 Cd 0.2471 0.0939 0.1775 1
S1 S 0.1414 0.5380 0.3919 1
S2 S 0.1440 0.2500 0.9560 1
S3 S 0.1539 0.7500 0.8835 1
```



The following is a theoretical XRD peak list of Ba2ZnGe2O7. It was derived from a structure optimized by DFT (GGA-PBE), using a wavelength of 1.5418 Å.
Kinematic intensities with the Lorentz-polarization factor, no thermal factor.

Largest 10 diffraction maxima, in order of rising 2θ, 10 to 90 degrees two-theta:
d (Å)	two_theta	I_rel	hkl
4.111	21.6	8	1 1 1
3.391	26.3	20	2 0 1
3.149	28.3	100	2 1 1
2.822	31.7	14	0 0 2
2.682	33.4	26	3 1 0
1.999	45.4	9	3 3 0
1.944	46.7	22	3 1 2
1.933	47.0	12	4 1 1
1.686	54.4	13	2 1 3
1.517	61.1	14	5 2 1

Cell and atoms:
```
data_Ba2ZnGe2O7
_chemical_formula_sum 'Ba4 Zn2 Ge4 O14'
_space_group_name_H-M_alt 'P -4 21 m'
_space_group_IT_number 113
_cell_length_a 8.4830
_cell_length_b 8.4830
_cell_length_c 5.6448
_cell_angle_alpha 90.00
_cell_angle_beta 90.00
_cell_angle_gamma 90.00
loop_
_space_group_symop_operation_xyz
'x,y,z'
'y,-x,-z'
'-x,-y,z'
'-y,x,-z'
'x+1/2,-y+1/2,-z'
'y+1/2,x+1/2,z'
'-x+1/2,y+1/2,-z'
'-y+1/2,-x+1/2,z'
loop_
_atom_site_label
_atom_site_type_symbol
_atom_site_fract_x
_atom_site_fract_y
_atom_site_fract_z
_atom_site_occupancy
Ba1 Ba 0.1652 0.3348 0.4926 1
Zn1 Zn 0.0000 0.0000 0.0000 1
Ge1 Ge 0.1412 0.6412 0.9612 1
O1 O 0.0000 0.5000 0.8419 1
O2 O 0.0796 0.8161 0.8128 1
O3 O 0.1390 0.6390 0.2695 1
```



The following is a theoretical XRD peak list of Y2CdGe2. It was derived from a structure optimized by DFT (GGA-PBE), using a wavelength of 1.5418 Å.
Kinematic intensities with the Lorentz-polarization factor, no thermal factor.

Largest 10 diffraction maxima, in order of rising 2θ, 10 to 90 degrees two-theta:
d (Å)	two_theta	I_rel	hkl
2.770	32.3	52	2 0 1
2.590	34.6	100	2 1 1
2.315	38.9	40	3 1 0
2.117	42.7	22	0 0 2
2.031	44.6	17	3 2 0
1.638	56.2	19	2 2 2
1.563	59.1	23	3 1 2
1.360	69.1	13	5 1 1
1.296	73.0	12	2 1 3
1.294	73.1	9	4 4 0

Cell and atoms:
```
data_Y2CdGe2
_chemical_formula_sum 'Y4 Cd2 Ge4'
_space_group_name_H-M_alt 'P 4/m b m'
_space_group_IT_number 127
_space_group_name_Hall '-P 4 2ab'
_cell_length_a 7.3220
_cell_length_b 7.3220
_cell_length_c 4.2350
_cell_angle_alpha 90.00
_cell_angle_beta 90.00
_cell_angle_gamma 90.00
loop_
_atom_site_label
_atom_site_type_symbol
_atom_site_fract_x
_atom_site_fract_y
_atom_site_fract_z
_atom_site_occupancy
Y1 Y 0.1779 0.3221 0.0000 1
Cd1 Cd 0.0000 0.0000 0.5000 1
Ge1 Ge 0.1222 0.6222 0.5000 1
```



The following is a theoretical XRD peak list of Mg4P6Rh7. It was derived from a structure optimized by DFT (GGA-PBE), using a wavelength of 1.5418 Å.
Kinematic intensities with the Lorentz-polarization factor, no thermal factor.

Largest 10 diffraction maxima, in order of rising 2θ, 10 to 90 degrees two-theta:
d (Å)	two_theta	I_rel	hkl
5.598	15.8	24	1 1 0
3.959	22.5	54	2 0 0
3.232	27.6	70	2 1 1
2.286	39.4	100	2 2 2
2.116	42.7	82	3 2 1
1.979	45.8	78	4 0 0
1.688	54.4	32	3 3 2
1.400	66.8	42	4 4 0
1.284	73.8	22	6 1 1
1.194	80.5	27	6 2 2

Cell and atoms:
```
data_Mg4P6Rh7
_chemical_formula_sum 'Mg8 P12 Rh14'
_space_group_name_H-M_alt 'I m -3 m'
_space_group_IT_number 229
_space_group_name_Hall '-I 4 2 3'
_cell_length_a 7.9172
_cell_length_b 7.9172
_cell_length_c 7.9172
_cell_angle_alpha 90.00
_cell_angle_beta 90.00
_cell_angle_gamma 90.00
loop_
_atom_site_label
_atom_site_type_symbol
_atom_site_fract_x
_atom_site_fract_y
_atom_site_fract_z
_atom_site_occupancy
Mg1 Mg 0.2500 0.2500 0.2500 1
P1 P 0.0000 0.0000 0.3189 1
Rh1 Rh 0.0000 0.0000 0.0000 1
Rh2 Rh 0.0000 0.2500 0.5000 1
```



The following is a theoretical XRD peak list of FeWN2. It was derived from a structure optimized by DFT (GGA-PBE), using a wavelength of 1.5418 Å.
Kinematic intensities with the Lorentz-polarization factor, no thermal factor.

Largest 10 diffraction maxima, in order of rising 2θ, 10 to 90 degrees two-theta:
d (Å)	two_theta	I_rel	hkl
5.525	16.0	68	0 0 2
2.762	32.4	38	0 0 4
2.502	35.9	100	1 0 0
2.279	39.5	44	1 0 2
1.854	49.1	100	1 0 4
1.483	62.6	13	1 0 6
1.445	64.5	23	1 1 0
1.280	74.1	22	1 1 4
1.209	79.2	20	1 0 8
1.140	85.1	20	2 0 4

Cell and atoms:
```
data_FeWN2
_chemical_formula_sum 'Fe2 W2 N4'
_space_group_name_H-M_alt 'P 63/m m c'
_space_group_IT_number 194
_space_group_name_Hall '-P 6c 2c'
_cell_length_a 2.8891
_cell_length_b 2.8891
_cell_length_c 11.0494
_cell_angle_alpha 90.00
_cell_angle_beta 90.00
_cell_angle_gamma 120.00
loop_
_atom_site_label
_atom_site_type_symbol
_atom_site_fract_x
_atom_site_fract_y
_atom_site_fract_z
_atom_site_occupancy
Fe1 Fe 0.0000 0.0000 0.0000 1
W1 W 0.0000 0.0000 0.2500 1
N1 N 0.3333 0.6667 0.1315 1
```